For Ho5UC4, a crystal structure in Alexandria, relaxed with PBE gives the calculated XRD peak list in this record (copper Kα).
No peak broadening, texture or thermal motion is included.

Top 10 peaks for 10 to 80 degrees two-theta, sorted by position:
Position (°2θ)	intensity	hkl
30.4	33	2 0 2
30.7	100	3 1 0
35.5	79	6 0 0
50.9	27	5 1 2
51.2	10	0 2 0
51.3	19	7 1 -2
60.5	14	8 0 2
60.8	19	2 2 2
60.9	20	4 2 -2
63.9	10	6 2 0

```
data_Ho5UC4
_space_group_name_H-M_alt 'C 1 2/m 1'
_space_group_IT_number 12
_cell_length_a 15.5317
_cell_length_b 3.5693
_cell_length_c 7.1736
_cell_angle_alpha 90.00
_cell_angle_beta 102.78
_cell_angle_gamma 90.00
loop_
_space_group_symop_operation_xyz
'x,y,z'
'-x,-y,-z'
'-x,y,-z'
'x,-y,z'
'x+1/2,y+1/2,z'
'-x+1/2,-y+1/2,-z'
'-x+1/2,y+1/2,-z'
'x+1/2,-y+1/2,z'
loop_
_atom_site_label
_atom_site_type_symbol
_atom_site_fract_x
_atom_site_fract_y
_atom_site_fract_z
_atom_site_occupancy
Ho1 Ho 0.0000 0.0000 0.0000 1
Ho2 Ho 0.1614 0.5000 0.8129 1
Ho3 Ho 0.1669 0.5000 0.3483 1
U1 U 0.0000 0.0000 0.5000 1
C1 C 0.0011 0.5000 0.7299 1
C2 C 0.1587 0.0000 0.5795 1
```